# 1
This entry pairs a crystal structure of Na2AuI4 with its simulated powder XRD pattern. Radiation: λ = 1.5418 Å (Cu Kα). Structure: a DFT-relaxed cell (GGA-PBE, Alexandria).
Kinematic intensities with the Lorentz-polarization factor, no thermal factor.

Structure:
```
Na2AuI4
1.0
-3.933 3.933 4.357
3.933 -3.933 4.357
3.933 3.933 -4.357
Na Au I
2 1 4
Direct
0.250 0.750 0.500 Na
0.750 0.250 0.500 Na
0.000 0.000 0.000 Au
0.212 0.717 0.000 I
0.283 0.283 0.495 I
0.717 0.212 0.000 I
0.788 0.788 0.505 I
```

Largest 10 diffraction maxima, in order of rising 2θ, 2θ = 10–90°:
2θ/deg  d_spacing  I (rel.)
15.17  5.839  88.0
20.38  4.357  100.0
25.98  3.430  66.1
27.34  3.262  38.4
30.62  2.919  37.4
32.19  2.781  99.0
38.40  2.344  79.0
41.82  2.160  37.0
46.16  1.966  35.9
50.95  1.792  34.9


# 2
This entry pairs a crystal structure of PrSm10Dy4 with its simulated powder XRD pattern. Radiation: λ = 1.5418 Å (Cu Kα). Structure: a DFT-relaxed cell (GGA-PBE, Alexandria).
Kinematic intensities with the Lorentz-polarization factor, no thermal factor.

Structure:
```
PrSm10Dy4
1.0
-4.967 4.967 5.418
4.967 -4.967 5.418
4.967 4.967 -5.418
Pr Sm Dy
1 10 4
Direct
0.000 0.000 0.000 Pr
0.052 0.947 0.657 Sm
0.053 0.710 0.105 Sm
0.250 0.750 0.500 Sm
0.290 0.394 0.343 Sm
0.394 0.052 0.105 Sm
0.606 0.948 0.895 Sm
0.710 0.606 0.657 Sm
0.750 0.250 0.500 Sm
0.947 0.290 0.895 Sm
0.948 0.053 0.343 Sm
0.219 0.557 0.776 Dy
0.443 0.219 0.663 Dy
0.557 0.781 0.337 Dy
0.781 0.443 0.224 Dy
```

Largest 10 diffraction maxima, in order of rising 2θ, 2θ = 10–90°:
2θ/deg  d_spacing  I (rel.)
21.62  4.111  15.8
26.25  3.395  26.4
28.41  3.142  80.9
31.93  2.803  100.0
32.96  2.718  38.7
40.61  2.221  28.6
41.21  2.191  23.3
49.77  1.832  14.5
58.99  1.566  20.6
69.07  1.360  16.5


# 3
This entry pairs a crystal structure of BaNb5O8 with its simulated powder XRD pattern. Radiation: λ = 1.5418 Å (Cu Kα). Structure: a DFT-relaxed cell (GGA-PBE, Alexandria).
Kinematic intensities with the Lorentz-polarization factor, no thermal factor.

Structure:
```
BaNb5O8
1.0
6.708 0.000 0.000
0.000 6.708 0.000
0.000 0.000 4.165
Ba Nb O
1 5 8
Direct
0.000 0.000 0.000 Ba
0.212 0.598 0.500 Nb
0.402 0.212 0.500 Nb
0.500 0.500 0.000 Nb
0.598 0.788 0.500 Nb
0.788 0.402 0.500 Nb
0.099 0.301 0.500 O
0.205 0.613 0.000 O
0.301 0.901 0.500 O
0.387 0.205 0.000 O
0.613 0.795 0.000 O
0.699 0.099 0.500 O
0.795 0.387 0.000 O
0.901 0.699 0.500 O
```

Largest 10 diffraction maxima, in order of rising 2θ, 2θ = 10–90°:
2θ/deg  d_spacing  I (rel.)
28.52  3.130  100.0
29.78  3.000  84.2
34.33  2.612  70.4
42.62  2.121  95.1
43.46  2.082  45.4
43.93  2.061  39.5
48.14  1.890  40.4
53.57  1.711  31.3
61.85  1.500  30.3
62.50  1.486  56.5


# 4
This entry pairs a crystal structure of Zr9Mo4S with its simulated powder XRD pattern. Radiation: λ = 1.5418 Å (Cu Kα). Structure: a DFT-relaxed cell (GGA-PBE, Alexandria).
Kinematic intensities with the Lorentz-polarization factor, no thermal factor.

Structure:
```
Zr9Mo4S
1.0
8.763 0.000 0.000
-4.381 7.589 0.000
0.000 0.000 8.630
Zr Mo S
18 8 2
Direct
0.079 0.540 0.250 Zr
0.198 0.395 0.550 Zr
0.198 0.395 0.950 Zr
0.198 0.802 0.550 Zr
0.198 0.802 0.950 Zr
0.395 0.198 0.050 Zr
0.395 0.198 0.450 Zr
0.460 0.540 0.250 Zr
0.460 0.921 0.250 Zr
0.540 0.079 0.750 Zr
0.540 0.460 0.750 Zr
0.605 0.802 0.550 Zr
0.605 0.802 0.950 Zr
0.802 0.198 0.050 Zr
0.802 0.198 0.450 Zr
0.802 0.605 0.050 Zr
0.802 0.605 0.450 Zr
0.921 0.460 0.750 Zr
0.000 0.000 0.000 Mo
0.000 0.000 0.500 Mo
0.109 0.218 0.250 Mo
0.109 0.891 0.250 Mo
0.218 0.109 0.750 Mo
0.782 0.891 0.250 Mo
0.891 0.109 0.750 Mo
0.891 0.782 0.750 Mo
0.333 0.667 0.750 S
0.667 0.333 0.250 S
```

Largest 10 diffraction maxima, in order of rising 2θ, 2θ = 10–90°:
2θ/deg  d_spacing  I (rel.)
11.66  7.589  24.5
31.39  2.849  18.5
33.31  2.690  19.9
37.03  2.427  64.8
37.66  2.389  100.0
39.30  2.292  39.3
41.21  2.191  21.3
62.34  1.489  21.4
65.15  1.432  21.9
65.47  1.426  24.2


# 5
This entry pairs a crystal structure of Sc2Si2Os with its simulated powder XRD pattern. Radiation: λ = 1.5418 Å (Cu Kα). Structure: a DFT-relaxed cell (GGA-PBE, Alexandria).
Kinematic intensities with the Lorentz-polarization factor, no thermal factor.

Structure:
```
Sc2Si2Os
1.0
-2.021 2.522 4.144
2.021 -2.522 4.144
2.021 2.522 -4.144
Sc Si Os
2 2 1
Direct
0.202 0.202 0.000 Sc
0.798 0.798 0.000 Sc
0.235 0.500 0.735 Si
0.765 0.500 0.265 Si
0.500 0.000 0.500 Os
```

Largest 10 diffraction maxima, in order of rising 2θ, 2θ = 10–90°:
2θ/deg  d_spacing  I (rel.)
20.61  4.309  65.5
21.44  4.144  37.4
24.50  3.633  44.0
35.60  2.522  17.3
35.78  2.510  100.0
37.10  2.423  40.5
43.69  2.072  73.6
44.85  2.021  20.5
59.56  1.552  21.3
72.07  1.310  19.3


# 6
This entry pairs a crystal structure of ZrTiNbPd with its simulated powder XRD pattern. Radiation: λ = 1.5418 Å (Cu Kα). Structure: a DFT-relaxed cell (GGA-PBE, Alexandria).
Kinematic intensities with the Lorentz-polarization factor, no thermal factor.

Structure:
```
ZrTiNbPd
1.0
0.000 3.285 3.285
3.285 0.000 3.285
3.285 3.285 0.000
Zr Ti Nb Pd
1 1 1 1
Direct
0.000 0.000 0.000 Zr
0.500 0.500 0.500 Ti
0.250 0.250 0.250 Nb
0.750 0.750 0.750 Pd
```

Largest 10 diffraction maxima, in order of rising 2θ, 2θ = 10–90°:
2θ/deg  d_spacing  I (rel.)
23.45  3.793  4.7
27.14  3.285  4.3
38.76  2.323  100.0
45.80  1.981  2.5
47.96  1.897  1.3
55.98  1.643  16.5
61.52  1.507  1.1
63.30  1.469  1.7
70.17  1.341  32.7
83.17  1.161  10.2


What did the fifth record say?
This entry pairs a crystal structure of Sc2Si2Os with its simulated powder XRD pattern. Radiation: λ = 1.5418 Å (Cu Kα). Structure: a DFT-relaxed cell (GGA-PBE, Alexandria).
Kinematic intensities with the Lorentz-polarization factor, no thermal factor.

Structure:
```
Sc2Si2Os
1.0
-2.021 2.522 4.144
2.021 -2.522 4.144
2.021 2.522 -4.144
Sc Si Os
2 2 1
Direct
0.202 0.202 0.000 Sc
0.798 0.798 0.000 Sc
0.235 0.500 0.735 Si
0.765 0.500 0.265 Si
0.500 0.000 0.500 Os
```

Largest 10 diffraction maxima, in order of rising 2θ, 2θ = 10–90°:
2θ/deg  d_spacing  I (rel.)
20.61  4.309  65.5
21.44  4.144  37.4
24.50  3.633  44.0
35.60  2.522  17.3
35.78  2.510  100.0
37.10  2.423  40.5
43.69  2.072  73.6
44.85  2.021  20.5
59.56  1.552  21.3
72.07  1.310  19.3